# 1
The following is a calculated powder XRD pattern of Fe2O3. It was derived from a DFT-relaxed cell (PBE+U, the Materials Project), using CuKα.
Intensities are scaled so that the largest is 100.

Atomic structure:
Unit cell a=5.1447 b=5.2884 c=7.5114 alpha=89.70 beta=89.84 gamma=89.88
Space group P1 (No. 1)
Symmetry-distinct sites (fractional):
Fe 0.0000 0.0000 0.0000 (multiplicity 1)
Fe 0.0008 0.4380 0.2268 (multiplicity 1)
Fe 0.4948 0.4997 0.9988 (multiplicity 1)
Fe 0.4967 0.9370 0.2260 (multiplicity 1)
Fe 0.4990 0.9957 0.7240 (multiplicity 1)
Fe 0.5000 0.4367 0.5014 (multiplicity 1)
Fe 0.9956 0.4964 0.7269 (multiplicity 1)
Fe 0.9966 0.9366 0.5004 (multiplicity 1)
O 0.1357 0.5667 0.4639 (multiplicity 1)
O 0.1370 0.8599 0.7673 (multiplicity 1)
O 0.1950 0.7203 0.1170 (multiplicity 1)
O 0.2905 0.2218 0.1182 (multiplicity 1)
O 0.3508 0.3600 0.7705 (multiplicity 1)
O 0.3540 0.0675 0.4607 (multiplicity 1)
O 0.6358 0.8726 0.9620 (multiplicity 1)
O 0.6368 0.5717 0.2677 (multiplicity 1)
O 0.6932 0.7131 0.6180 (multiplicity 1)
O 0.7921 0.2126 0.6180 (multiplicity 1)
O 0.8520 0.0699 0.2703 (multiplicity 1)
O 0.8535 0.3717 0.9614 (multiplicity 1)

Main lines, sorted by position (2θ from 10° to 80°):
2θ (°)  d_spacing  I_rel  (hkl)
33.9  2.642  71  0 2 0
34.1  2.628  100  1 1 -2
34.9  2.572  31  2 0 0
48.5  1.878  17  0 0 4
49.4  1.846  16  2 2 0
49.5  1.842  16  2 -2 0
60.3  1.535  9  0 2 4
60.6  1.528  15  0 2 -4
60.9  1.521  12  1 3 -2
61.0  1.519  8  2 0 4
61.9  1.499  9  3 1 2
62.1  1.495  28  -3 1 2


# 2
The following is a calculated powder XRD pattern of VP4O12. It was derived from a DFT-relaxed cell (PBE+U, the Materials Project), using CuKα.
Intensities are scaled so that the largest is 100.

Atomic structure:
Unit cell a=5.1734 b=13.6726 c=7.1574 alpha=90.00 beta=98.92 gamma=90.00
Space group P2_1 (No. 4)
Symmetry-distinct sites (fractional):
V 0.0136 0.0000 0.0050 (multiplicity 2)
P 0.2775 0.5896 0.3882 (multiplicity 2)
P 0.3618 0.9336 0.4049 (multiplicity 2)
P 0.4722 0.3614 0.9486 (multiplicity 2)
P 0.4976 0.1404 0.9538 (multiplicity 2)
O 0.1183 0.5153 0.2506 (multiplicity 2)
O 0.1332 0.6671 0.4670 (multiplicity 2)
O 0.1344 0.9785 0.2630 (multiplicity 2)
O 0.2004 0.3760 0.9951 (multiplicity 2)
O 0.2260 0.1224 0.9999 (multiplicity 2)
O 0.2829 0.5809 0.9369 (multiplicity 2)
O 0.3013 0.8779 0.5659 (multiplicity 2)
O 0.3179 0.9278 0.9500 (multiplicity 2)
O 0.4337 0.7524 0.0011 (multiplicity 2)
O 0.4479 0.5266 0.5491 (multiplicity 2)
O 0.4683 0.3692 0.7260 (multiplicity 2)
O 0.4965 0.1289 0.7322 (multiplicity 2)

Main lines, sorted by position (2θ from 10° to 80°):
2θ (°)  d_spacing  I_rel  (hkl)
12.5  7.071  63  0 0 1
12.9  6.836  100  0 2 0
14.1  6.281  36  0 1 1
17.4  5.111  23  1 0 0
21.7  4.093  16  1 2 0
23.7  3.750  62  1 2 -1
23.9  3.721  25  1 1 1
25.2  3.535  41  0 0 2
26.2  3.402  14  1 3 0
26.5  3.366  16  1 2 1
31.5  2.841  28  1 4 0
32.9  2.719  18  1 4 -1


# 3
The following is a calculated powder XRD pattern of Li3Fe4F19. It was derived from a DFT-relaxed cell (PBE+U, the Materials Project), using CuKα.
Intensities are scaled so that the largest is 100.

Atomic structure:
Unit cell a=5.2619 b=10.5545 c=12.4821 alpha=104.20 beta=95.33 gamma=100.99
Space group P-1 (No. 2)
Symmetry-distinct sites (fractional):
Li 0.0458 0.3393 0.4306 (multiplicity 2)
Li 0.1028 0.9789 0.2915 (multiplicity 2)
Li 0.2396 0.2488 0.9864 (multiplicity 2)
Fe 0.1443 0.6078 0.1293 (multiplicity 2)
Fe 0.3782 0.8829 0.8726 (multiplicity 2)
Fe 0.3871 0.5642 0.7204 (multiplicity 2)
Fe 0.4380 0.1539 0.5502 (multiplicity 2)
F 0.0139 0.7701 0.1651 (multiplicity 2)
F 0.1124 0.4808 0.7979 (multiplicity 2)
F 0.1178 0.8085 0.9356 (multiplicity 2)
F 0.1199 0.4183 0.0023 (multiplicity 2)
F 0.1464 0.4806 0.5792 (multiplicity 2)
F 0.1498 0.9495 0.7934 (multiplicity 2)
F 0.1794 0.0855 0.6161 (multiplicity 2)
F 0.1977 0.1755 0.4399 (multiplicity 2)
F 0.2139 0.7104 0.7104 (multiplicity 2)
F 0.2945 0.7756 0.5114 (multiplicity 2)
F 0.3373 0.3856 0.3502 (multiplicity 2)
F 0.3529 0.7423 0.2985 (multiplicity 2)
F 0.3638 0.0463 0.1922 (multiplicity 2)
F 0.3672 0.9713 0.4114 (multiplicity 2)
F 0.3734 0.0790 0.9889 (multiplicity 2)
F 0.3782 0.5097 0.1868 (multiplicity 2)
F 0.3818 0.3465 0.6266 (multiplicity 2)
F 0.4128 0.6851 0.0705 (multiplicity 2)
F 0.4698 0.2825 0.1385 (multiplicity 2)

Main lines, sorted by position (2θ from 10° to 80°):
2θ (°)  d_spacing  I_rel  (hkl)
15.1  5.877  32  0 1 -2
17.3  5.111  28  1 0 0
17.7  5.021  20  1 -1 0
19.2  4.615  20  1 -1 1
19.9  4.469  27  0 2 -2
22.9  3.883  100  1 1 -2
26.1  3.408  48  0 2 2
28.4  3.148  28  1 -3 1
28.7  3.111  25  1 -1 3
46.8  1.941  36  2 2 -4
47.3  1.922  18  -1 5 1
48.0  1.897  18  1 1 5


# 4
The following is a calculated powder XRD pattern of FeOF. It was derived from a DFT-relaxed cell (PBE+U, the Materials Project), using CuKα.
Intensities are scaled so that the largest is 100.

Atomic structure:
Unit cell a=9.6849 b=3.1596 c=9.7194 alpha=90.00 beta=91.03 gamma=90.00
Space group Pm (No. 6)
Symmetry-distinct sites (fractional):
Fe 0.0000 0.0000 0.0000 (multiplicity 1)
Fe 0.0004 0.0000 0.4391 (multiplicity 1)
Fe 0.2424 0.5000 0.2217 (multiplicity 1)
Fe 0.2622 0.5000 0.7187 (multiplicity 1)
Fe 0.4579 0.0000 0.9807 (multiplicity 1)
Fe 0.4601 0.0000 0.4609 (multiplicity 1)
Fe 0.7429 0.5000 0.7196 (multiplicity 1)
Fe 0.7608 0.5000 0.2181 (multiplicity 1)
O 0.0910 0.5000 0.0662 (multiplicity 1)
O 0.1484 0.0000 0.3159 (multiplicity 1)
O 0.3354 0.0000 0.1280 (multiplicity 1)
O 0.3413 0.0000 0.6229 (multiplicity 1)
O 0.3945 0.5000 0.3699 (multiplicity 1)
O 0.3951 0.5000 0.8729 (multiplicity 1)
O 0.8361 0.0000 0.1186 (multiplicity 1)
O 0.8900 0.5000 0.3785 (multiplicity 1)
F 0.0856 0.5000 0.5730 (multiplicity 1)
F 0.1392 0.0000 0.8142 (multiplicity 1)
F 0.5897 0.5000 0.0676 (multiplicity 1)
F 0.5982 0.5000 0.5740 (multiplicity 1)
F 0.6433 0.0000 0.3198 (multiplicity 1)
F 0.6506 0.0000 0.8152 (multiplicity 1)
F 0.8382 0.0000 0.6285 (multiplicity 1)
F 0.8889 0.5000 0.8639 (multiplicity 1)

Main lines, sorted by position (2θ from 10° to 80°):
2θ (°)  d_spacing  I_rel  (hkl)
25.7  3.461  94  2 0 -2
26.2  3.399  87  2 0 2
33.9  2.647  100  0 1 2
38.6  2.333  20  2 1 -2
38.9  2.314  16  2 1 2
50.8  1.797  53  2 1 -4
51.3  1.780  49  2 1 4
52.9  1.730  13  4 0 -4
53.9  1.700  14  4 0 4
58.4  1.580  18  0 2 0
64.7  1.441  18  0 1 6
64.9  1.437  27  6 1 0


# 5
The following is a calculated powder XRD pattern of V5Zn4Te3O18. It was derived from a DFT-relaxed cell (PBE+U, the Materials Project), using CuKα.
Intensities are scaled so that the largest is 100.

Atomic structure:
Unit cell a=14.9655 b=9.1459 c=10.7650 alpha=90.00 beta=95.04 gamma=90.00
Space group C2/c (No. 15)
Symmetry-distinct sites (fractional):
V 0.0000 0.1700 0.2500 (multiplicity 4)
V 0.1492 0.1509 0.7678 (multiplicity 8)
V 0.1623 0.3034 0.0505 (multiplicity 8)
Zn 0.0328 0.3509 0.5353 (multiplicity 8)
Zn 0.2050 0.1454 0.4293 (multiplicity 8)
Te 0.0000 0.0000 0.0000 (multiplicity 4)
Te 0.1580 0.4979 0.3010 (multiplicity 8)
O 0.0702 0.0037 0.1790 (multiplicity 8)
O 0.0714 0.1777 0.4269 (multiplicity 8)
O 0.0854 0.3095 0.1839 (multiplicity 8)
O 0.0845 0.4629 0.9641 (multiplicity 8)
O 0.0882 0.1547 0.9352 (multiplicity 8)
O 0.0966 0.3345 0.7004 (multiplicity 8)
O 0.2271 0.3192 0.8823 (multiplicity 8)
O 0.2370 0.1624 0.6159 (multiplicity 8)
O 0.2466 0.4723 0.1535 (multiplicity 8)

Main lines, sorted by position (2θ from 10° to 80°):
2θ (°)  d_spacing  I_rel  (hkl)
20.3  4.366  64  3 1 0
21.2  4.182  48  2 0 2
27.9  3.195  77  4 0 -2
28.9  3.086  66  2 2 2
32.6  2.743  51  4 2 1
33.6  2.667  32  3 1 3
34.1  2.629  100  1 3 -2
34.2  2.619  29  4 2 -2
34.5  2.598  95  3 3 0
54.1  1.696  53  7 3 -2
57.7  1.597  28  8 0 -4
59.8  1.546  32  1 3 -6